Computed powder XRD pattern
Compound: Y2ErCd3AgAu2
Radiation: Cu Ka
Structure: the GGA-PBE geometry in OQMD
Peak positions follow from Bragg's law for the DFT cell and can differ from measured ones.

Largest 8 diffraction maxima, sorted by position, 2θ from 5° to 70°:
32.61 deg, I 98, (1 3 1)
34.87 deg, I 34, (0 1 3)
35.25 deg, I 100, (1 4 0)
39.72 deg, I 39, (0 3 3)
39.86 deg, I 22, (0 6 0)
42.28 deg, I 34, (1 4 2)
47.31 deg, I 26, (2 0 0)
64.53 deg, I 23, (1 8 2)

Crystal structure
```
data_Y2ErCd3AgAu2
_space_group_name_H-M_alt 'A m m 2'
_space_group_IT_number 38
_cell_length_a 3.8425
_cell_length_b 13.5708
_cell_length_c 7.8707
_cell_angle_alpha 90.00
_cell_angle_beta 90.00
_cell_angle_gamma 90.00
loop_
_space_group_symop_operation_xyz
'x,y,z'
'-x,-y,z'
'-x,y,z'
'x,-y,z'
'x,y+1/2,z+1/2'
'-x,-y+1/2,z+1/2'
'-x,y+1/2,z+1/2'
'x,-y+1/2,z+1/2'
loop_
_atom_site_label
_atom_site_type_symbol
_atom_site_fract_x
_atom_site_fract_y
_atom_site_fract_z
Y1 Y 0.0000 0.2037 0.0000
Er1 Er 0.0000 0.0000 0.6121
Cd1 Cd 0.5000 0.0000 0.9416
Cd2 Cd 0.5000 0.1307 0.3352
Ag1 Ag 0.0000 0.0000 0.2049
Au1 Au 0.5000 0.1649 0.7030
```